Theoretical X-ray diffraction stick pattern
Compound: NaTc2N5OF12
Radiation: CuKα
Structure: a crystal structure in the Materials Project, relaxed with PBE

Crystal structure
```
data_NaTc2N5OF12
_chemical_formula_sum 'Na2 Tc4 N10 O2 F24'
_space_group_name_H-M_alt 'P b a m'
_space_group_IT_number 55
_cell_length_a 7.4814
_cell_length_b 15.4754
_cell_length_c 6.2525
_cell_angle_alpha 90.00
_cell_angle_beta 90.00
_cell_angle_gamma 90.00
loop_
_space_group_symop_operation_xyz
'x,y,z'
'-x,-y,-z'
'-x,-y,z'
'x,y,-z'
'x+1/2,-y+1/2,-z'
'-x+1/2,y+1/2,z'
'-x+1/2,y+1/2,-z'
'x+1/2,-y+1/2,z'
loop_
_atom_site_label
_atom_site_fract_x
_atom_site_fract_y
_atom_site_fract_z
_atom_site_occupancy
Na1 0.0000 0.0000 0.0000 1
Tc1 0.1558 0.4064 0.5000 1
N1 0.0000 0.5000 0.0000 1
N2 0.1009 0.7878 0.0000 1
N3 0.1625 0.1373 0.5000 1
O1 0.0000 0.5000 0.5000 1
F1 0.0246 0.3506 0.2857 1
F2 0.0586 0.1714 0.0000 1
F3 0.1864 0.8121 0.5000 1
F4 0.1947 0.9583 0.2842 1
```

Main lines, in order of falling intensity (2θ = 15–90°):
hkl	2θ/deg	I (rel.)
1 2 0	16.48	100.0
1 2 1	21.80	73.4
1 1 1	19.37	59.6
2 3 1	32.86	29.3
0 4 1	27.10	28.5
2 3 2	41.52	27.3
2 3 0	29.50	22.6
2 0 1	27.79	20.7
0 0 2	28.55	19.7
1 4 0	25.93	17.7